# Y2CrBPb
Theoretical powder diffraction line list, copper Kα. Input: a PBE-relaxed structure.
Kinematic intensities with the Lorentz-polarization factor, no thermal factor.

Crystal structure
Unit cell a=5.085 b=5.085 c=4.247 alpha=90.00 beta=90.00 gamma=90.00
Element x y z (fractional)
Y 0.000 0.500 0.000
Y 0.500 0.000 0.000
Cr 0.000 0.000 0.500
B 0.000 0.000 0.000
Pb 0.500 0.500 0.500

Principal peaks in the range 2θ from 10° to 90°, sorted by position:
2θ = 17.44°, d = 5.085 Å, rel. 22
2θ = 27.36°, d = 3.260 Å, rel. 21
2θ = 32.63°, d = 2.744 Å, rel. 100
2θ = 35.30°, d = 2.542 Å, rel. 44
2θ = 42.57°, d = 2.123 Å, rel. 13
2θ = 50.79°, d = 1.798 Å, rel. 15
2θ = 56.46°, d = 1.630 Å, rel. 22
2θ = 61.68°, d = 1.504 Å, rel. 32

# In4Pd7Rh
Theoretical powder diffraction line list, copper Kα. Input: a PBE-relaxed structure.
Kinematic intensities with the Lorentz-polarization factor, no thermal factor.

Crystal structure
Unit cell a=6.018 b=6.018 c=9.693 alpha=117.75 beta=117.75 gamma=47.88
Element x y z (fractional)
In 0.089 0.089 0.275
In 0.244 0.244 0.827
In 0.756 0.756 0.173
In 0.911 0.911 0.725
Pd 0.000 0.000 0.500
Pd 0.138 0.138 0.027
Pd 0.294 0.294 0.586
Pd 0.425 0.425 0.173
Pd 0.575 0.575 0.827
Pd 0.706 0.706 0.414
Pd 0.862 0.862 0.973
Rh 0.500 0.500 0.500

Principal peaks in the range 2θ from 10° to 90°, sorted by position:
2θ = 35.12°, d = 2.555 Å, rel. 68
2θ = 36.81°, d = 2.442 Å, rel. 98
2θ = 37.22°, d = 2.415 Å, rel. 30
2θ = 39.86°, d = 2.262 Å, rel. 100
2θ = 42.15°, d = 2.144 Å, rel. 26
2θ = 42.52°, d = 2.126 Å, rel. 28
2θ = 43.54°, d = 2.079 Å, rel. 49
2θ = 51.78°, d = 1.765 Å, rel. 48

# Pr5Nd6Er
Theoretical powder diffraction line list, copper Kα. Input: a PBE-relaxed structure.
Kinematic intensities with the Lorentz-polarization factor, no thermal factor.

Crystal structure
Unit cell a=6.376 b=6.376 c=12.223 alpha=95.03 beta=95.03 gamma=119.99
Element x y z (fractional)
Pr 0.000 0.000 0.000
Pr 0.167 0.833 0.500
Pr 0.334 0.666 0.000
Pr 0.666 0.334 0.000
Pr 0.833 0.167 0.500
Nd 0.086 0.418 0.252
Nd 0.250 0.250 0.748
Nd 0.418 0.086 0.252
Nd 0.582 0.914 0.748
Nd 0.750 0.750 0.252
Nd 0.914 0.582 0.748
Er 0.500 0.500 0.500

Principal peaks in the range 2θ from 10° to 90°, sorted by position:
2θ = 29.71°, d = 3.007 Å, rel. 100
2θ = 34.44°, d = 2.604 Å, rel. 51
2θ = 49.51°, d = 1.841 Å, rel. 36
2θ = 58.77°, d = 1.571 Å, rel. 14
2θ = 58.83°, d = 1.570 Å, rel. 29
2θ = 61.70°, d = 1.503 Å, rel. 12
2θ = 80.40°, d = 1.194 Å, rel. 12
2θ = 82.88°, d = 1.165 Å, rel. 8

# Ga4Ni15W
Theoretical powder diffraction line list, copper Kα. Input: a PBE-relaxed structure.
Kinematic intensities with the Lorentz-polarization factor, no thermal factor.

Crystal structure
Unit cell a=3.600 b=3.600 c=17.888 alpha=90.00 beta=90.00 gamma=90.00
Element x y z (fractional)
Ga 0.000 0.000 0.099
Ga 0.000 0.000 0.295
Ga 0.000 0.000 0.705
Ga 0.000 0.000 0.901
Ni 0.000 0.500 0.000
Ni 0.000 0.500 0.199
Ni 0.000 0.500 0.400
Ni 0.000 0.500 0.600
Ni 0.000 0.500 0.801
Ni 0.500 0.000 0.000
Ni 0.500 0.000 0.199
Ni 0.500 0.000 0.400
Ni 0.500 0.000 0.600
Ni 0.500 0.000 0.801
Ni 0.500 0.500 0.100
Ni 0.500 0.500 0.300
Ni 0.500 0.500 0.500
Ni 0.500 0.500 0.700
Ni 0.500 0.500 0.900
W 0.000 0.000 0.500

Principal peaks in the range 2θ from 10° to 90°, sorted by position:
2θ = 14.86°, d = 5.963 Å, rel. 2
2θ = 24.73°, d = 3.600 Å, rel. 2
2θ = 25.23°, d = 3.530 Å, rel. 2
2θ = 43.64°, d = 2.074 Å, rel. 100
2θ = 50.71°, d = 1.800 Å, rel. 32
2θ = 51.06°, d = 1.789 Å, rel. 16
2θ = 74.55°, d = 1.273 Å, rel. 9
2θ = 74.83°, d = 1.269 Å, rel. 18

# SrCe2Ag6
Theoretical powder diffraction line list, copper Kα. Input: a PBE-relaxed structure.
Kinematic intensities with the Lorentz-polarization factor, no thermal factor.

Crystal structure
Unit cell a=8.483 b=8.483 c=3.498 alpha=90.00 beta=90.00 gamma=120.00
Element x y z (fractional)
Sr 0.000 0.000 0.000
Ce 0.333 0.667 0.000
Ce 0.667 0.333 0.000
Ag 0.000 0.335 0.500
Ag 0.000 0.665 0.500
Ag 0.335 0.000 0.500
Ag 0.335 0.335 0.500
Ag 0.665 0.000 0.500
Ag 0.665 0.665 0.500

Principal peaks in the range 2θ from 10° to 90°, sorted by position:
2θ = 33.20°, d = 2.699 Å, rel. 100
2θ = 36.70°, d = 2.449 Å, rel. 83
2θ = 50.32°, d = 1.813 Å, rel. 30
2θ = 63.87°, d = 1.457 Å, rel. 29
2θ = 65.59°, d = 1.423 Å, rel. 29
2θ = 66.09°, d = 1.414 Å, rel. 14
2θ = 87.48°, d = 1.115 Å, rel. 12
2θ = 89.04°, d = 1.100 Å, rel. 13

# Sm3Dy2Hg4
Theoretical powder diffraction line list, copper Kα. Input: a PBE-relaxed structure.
Kinematic intensities with the Lorentz-polarization factor, no thermal factor.

Crystal structure
Unit cell a=10.001 b=10.001 c=8.035 alpha=90.00 beta=90.00 gamma=139.55
Element x y z (fractional)
Sm 0.000 0.000 0.000
Sm 0.011 0.489 0.250
Sm 0.489 0.011 0.750
Sm 0.500 0.500 0.500
Sm 0.511 0.989 0.250
Sm 0.989 0.511 0.750
Dy 0.094 0.906 0.414
Dy 0.406 0.594 0.914
Dy 0.594 0.406 0.086
Dy 0.906 0.094 0.586
Hg 0.161 0.839 0.038
Hg 0.179 0.321 0.250
Hg 0.321 0.179 0.750
Hg 0.339 0.661 0.538
Hg 0.661 0.339 0.462
Hg 0.679 0.821 0.250
Hg 0.821 0.679 0.750
Hg 0.839 0.161 0.962

Principal peaks in the range 2θ from 10° to 90°, sorted by position:
2θ = 29.27°, d = 3.052 Å, rel. 61
2θ = 29.70°, d = 3.008 Å, rel. 54
2θ = 34.22°, d = 2.620 Å, rel. 100
2θ = 34.83°, d = 2.575 Å, rel. 40
2θ = 36.40°, d = 2.468 Å, rel. 46
2θ = 37.68°, d = 2.387 Å, rel. 28
2θ = 38.82°, d = 2.320 Å, rel. 32
2θ = 61.01°, d = 1.519 Å, rel. 34